# Tl2TcWO6
Calculated powder X-ray diffraction pattern, Cu Kα, 1.54184 Å. Input: a structure optimized by DFT (PBE+U).

Peak list (10 most intense, 10° ≤ 2θ ≤ 90°, in order of rising 2θ)
d [Å]  2θ (°)  intensity
3.219  27.7  100
3.211  27.8  33
2.926  30.5  31
2.723  32.9  41
1.996  45.4  14
1.991  45.6  14
1.925  47.2  21
1.741  52.6  20
1.653  55.6  30
1.609  57.3  10

```
Tl2TcWO6
1.0
3.851 -3.851 0.000
3.851 3.851 0.000
-3.827 0.000 5.853
Tl Tc W O
2 1 1 6
Cartesian
3.851 1.928 0.000
3.851 -1.928 0.000
-1.913 0.000 2.926
1.938 0.000 2.926
-0.045 0.000 2.929
1.938 1.983 2.926
1.935 0.000 1.033
1.940 0.000 4.820
1.938 -1.983 2.926
3.921 0.000 2.924
```